Theoretical X-ray powder pattern of LaSm3Ga3 for Cu Kα (weighted mean of Kα1 and Kα2), from DFT lattice parameters and positions (PBE).

Main lines, sorted by position (2θ from 10° to 90°):
d_spacing, Position (°2θ), I_rel, h k l
3.399, 26.22, 16.8, 1 1 1
3.142, 28.40, 22.5, 2 0 1
3.113, 28.67, 24.9, 1 2 0
2.746, 32.61, 14.3, 3 0 0
2.622, 34.20, 100.0, 1 2 1
2.431, 36.98, 25.2, 0 0 2
1.916, 47.46, 12.5, 1 2 2
1.820, 50.12, 8.5, 3 0 2
1.797, 50.80, 9.1, 1 4 0
1.761, 51.92, 15.6, 3 2 1
1.445, 64.48, 8.9, 1 4 2
1.437, 64.87, 15.4, 1 2 3

Cell and atoms:
Cell: 9.5111 9.5111 4.8612 Å, 90.00 90.00 120.00°
Space group P6_3/m (No. 176)
Asymmetric unit:
La: 0.3333 0.6667 0.2500 (multiplicity 2)
Sm: 0.0217 0.2606 0.7500 (multiplicity 6)
Ga: 0.0565 0.6065 0.7500 (multiplicity 6)

Theoretical X-ray powder pattern of CsAsClF3 for Cu Kα (weighted mean of Kα1 and Kα2), from DFT lattice parameters and positions (PBE).

Main lines, sorted by position (2θ from 10° to 90°):
d_spacing, Position (°2θ), I_rel, h k l
4.126, 21.54, 59.0, 0 0 4
3.727, 23.87, 100.0, 1 1 2
3.502, 25.43, 36.3, 0 2 0
2.986, 29.93, 18.7, 0 1 5
2.670, 33.57, 17.8, 0 2 4
2.603, 34.46, 29.2, 2 0 0
2.297, 39.21, 17.5, 1 1 6
2.201, 41.00, 20.8, 2 0 4
2.089, 43.32, 16.8, 2 2 0
2.063, 43.90, 28.6, 1 3 2
1.864, 48.87, 12.6, 2 2 4
1.466, 63.45, 11.9, 2 1 9

Cell and atoms:
Cell: 5.2050 7.0039 16.5040 Å, 90.00 90.00 90.00°
Space group Imma (No. 74)
Asymmetric unit:
Cs: 0.0000 0.2500 0.1340 (multiplicity 4)
As: 0.0000 0.2500 0.5985 (multiplicity 4)
Cl: 0.0000 0.2500 0.9174 (multiplicity 4)
F: 0.0000 0.0278 0.3915 (multiplicity 8)
F: 0.0000 0.2500 0.7056 (multiplicity 4)

Theoretical X-ray powder pattern of Mn3Te4Se2 for Cu Kα (weighted mean of Kα1 and Kα2), from DFT lattice parameters and positions (PBE).

Main lines, sorted by position (2θ from 10° to 90°):
d_spacing, Position (°2θ), I_rel, h k l
6.780, 13.06, 27.5, 0 0 3
3.390, 26.29, 17.6, 0 0 6
3.162, 28.22, 69.4, 1 0 0
3.125, 28.57, 20.0, 1 0 1
2.497, 35.97, 100.0, 1 0 5
2.312, 38.95, 22.8, 1 0 6
1.981, 45.79, 38.8, 1 0 8
1.826, 49.95, 41.2, 1 1 0
1.607, 57.32, 12.3, 1 1 6
1.474, 63.08, 18.6, 2 0 5
1.188, 80.92, 13.7, 1 1 13
1.147, 84.49, 16.2, 2 1 5

Cell and atoms:
Cell: 3.6514 3.6514 20.3404 Å, 90.00 90.00 120.00°
Space group P-6m2 (No. 187)
Asymmetric unit:
Mn: 0.0000 0.0000 0.0000 (multiplicity 1)
Mn: 0.3333 0.6667 0.3149 (multiplicity 2)
Te: 0.0000 0.0000 0.2323 (multiplicity 2)
Te: 0.0000 0.0000 0.3975 (multiplicity 2)
Se: 0.3333 0.6667 0.0717 (multiplicity 2)

Theoretical X-ray powder pattern of Li2AcInCl8 for Cu Kα (weighted mean of Kα1 and Kα2), from DFT lattice parameters and positions (PBE).

Main lines, sorted by position (2θ from 10° to 90°):
d_spacing, Position (°2θ), I_rel, h k l
6.311, 14.03, 100.0, 0 1 0
6.259, 14.15, 99.6, 1 0 0
4.481, 19.81, 60.5, 1 1 0
4.408, 20.15, 56.8, 1 -1 0
4.184, 21.24, 39.7, 0 0 2
3.618, 24.61, 48.0, 1 0 2
3.049, 29.30, 55.7, 1 -1 2
3.021, 29.57, 66.4, -1 1 2
2.836, 31.54, 38.5, 1 2 0
2.469, 36.40, 27.5, 2 1 2
2.241, 40.24, 29.7, 2 2 0
1.935, 46.95, 25.8, 0 3 2

Cell and atoms:
Cell: 6.2832 6.3290 8.4215 Å, 85.75 85.05 88.70°
Space group P-1 (No. 2)
Asymmetric unit:
Li: 0.0600 0.0498 0.2754 (multiplicity 2)
Ac: 0.5000 0.5000 0.5000 (multiplicity 1)
In: 0.5000 0.5000 0.0000 (multiplicity 1)
Cl: 0.1999 0.1638 0.5157 (multiplicity 2)
Cl: 0.2484 0.2080 0.0259 (multiplicity 2)
Cl: 0.2746 0.6865 0.2329 (multiplicity 2)
Cl: 0.2783 0.6888 0.7747 (multiplicity 2)